NaCo3: calculated powder X-ray diffraction pattern (Cu Kα X-rays), based on a structure optimized by DFT (PBE).

Crystal structure
```
NaCo3
1.0
6.011 0.000 0.000
-3.005 5.205 0.000
0.000 0.000 4.016
Na Co
2 6
direct
0.333 0.667 0.250 Na
0.667 0.333 0.750 Na
0.131 0.263 0.750 Co
0.131 0.869 0.750 Co
0.263 0.131 0.250 Co
0.737 0.869 0.750 Co
0.869 0.131 0.250 Co
0.869 0.737 0.250 Co
```

Peak list (10 most intense, 15° ≤ 2θ ≤ 90°, by angle)
17.03 deg, d 5.205, intensity 938; 34.46 deg, d 2.603, intensity 247; 41.34 deg, d 2.184, intensity 1000; 45.15 deg, d 2.008, intensity 235; 46.14 deg, d 1.967, intensity 127; 48.60 deg, d 1.873, intensity 113; 51.74 deg, d 1.767, intensity 182; 57.89 deg, d 1.593, intensity 267; 80.41 deg, d 1.194, intensity 105; 80.72 deg, d 1.190, intensity 118



Na2CoS2: calculated powder X-ray diffraction pattern (Cu Kα X-rays), based on a structure optimized by DFT (PBE).

Crystal structure
```
Na2CoS2
1.0
-3.186 5.717 2.786
3.186 -5.717 2.786
3.186 5.717 -2.786
Na Co S
4 2 4
direct
0.143 0.157 0.300 Na
0.357 0.657 0.014 Na
0.643 0.343 0.986 Na
0.857 0.843 0.700 Na
0.250 0.750 0.500 Co
0.750 0.250 0.500 Co
0.110 0.707 0.816 S
0.390 0.207 0.597 S
0.610 0.793 0.403 S
0.890 0.293 0.184 S
```

Peak list (10 most intense, 15° ≤ 2θ ≤ 90°, by angle)
15.50 deg, d 5.717, intensity 611; 15.92 deg, d 5.566, intensity 1000; 27.26 deg, d 3.271, intensity 452; 32.15 deg, d 2.784, intensity 218; 33.33 deg, d 2.688, intensity 285; 36.05 deg, d 2.491, intensity 298; 42.49 deg, d 2.128, intensity 365; 43.13 deg, d 2.097, intensity 380; 45.46 deg, d 1.995, intensity 477; 46.10 deg, d 1.969, intensity 155



Na6CoS4: calculated powder X-ray diffraction pattern (Cu Kα X-rays), based on a structure optimized by DFT (PBE).

Crystal structure
```
Na6CoS4
1.0
8.914 0.000 0.000
-4.457 7.720 0.000
0.000 0.000 6.918
Na Co S
12 2 8
direct
0.062 0.531 0.000 Na
0.147 0.295 0.672 Na
0.147 0.853 0.672 Na
0.295 0.147 0.172 Na
0.469 0.531 0.000 Na
0.469 0.938 0.000 Na
0.531 0.062 0.500 Na
0.531 0.469 0.500 Na
0.705 0.853 0.672 Na
0.853 0.147 0.172 Na
0.853 0.705 0.172 Na
0.938 0.469 0.500 Na
0.333 0.667 0.385 Co
0.667 0.333 0.885 Co
0.190 0.381 0.279 S
0.190 0.810 0.279 S
0.333 0.667 0.720 S
0.381 0.190 0.779 S
0.619 0.810 0.279 S
0.667 0.333 0.220 S
0.810 0.190 0.779 S
0.810 0.619 0.779 S
```

Peak list (10 most intense, 15° ≤ 2θ ≤ 90°, by angle)
17.21 deg, d 5.152, intensity 640; 23.04 deg, d 3.860, intensity 260; 28.27 deg, d 3.157, intensity 171; 33.33 deg, d 2.688, intensity 767; 34.83 deg, d 2.576, intensity 701; 37.28 deg, d 2.412, intensity 267; 40.47 deg, d 2.229, intensity 1000; 40.84 deg, d 2.210, intensity 263; 45.84 deg, d 1.980, intensity 309; 66.58 deg, d 1.405, intensity 172



Na2CoSe2: calculated powder X-ray diffraction pattern (Cu Kα X-rays), based on a structure optimized by DFT (PBE).

Crystal structure
```
Na2CoSe2
1.0
-3.251 6.026 2.915
3.251 -6.026 2.915
3.251 6.026 -2.915
Na Co Se
4 2 4
direct
0.142 0.170 0.312 Na
0.358 0.670 0.028 Na
0.642 0.330 0.972 Na
0.858 0.830 0.688 Na
0.250 0.750 0.500 Co
0.750 0.250 0.500 Co
0.113 0.710 0.823 Se
0.387 0.210 0.597 Se
0.613 0.790 0.403 Se
0.887 0.290 0.177 Se
```

Peak list (10 most intense, 15° ≤ 2θ ≤ 90°, by angle)
15.49 deg, d 5.722, intensity 803; 25.29 deg, d 3.522, intensity 1000; 29.65 deg, d 3.013, intensity 246; 30.67 deg, d 2.915, intensity 265; 32.40 deg, d 2.763, intensity 292; 40.83 deg, d 2.210, intensity 538; 41.62 deg, d 2.170, intensity 550; 43.18 deg, d 2.095, intensity 635; 47.22 deg, d 1.925, intensity 183; 63.84 deg, d 1.458, intensity 205